1.
Ca8Mn7CrO22: calculated powder diffraction line list (a wavelength of 1.5418 Å), based on a crystal structure in the Materials Project, relaxed with GGA+U.

Atomic structure:
```
data_Ca8Mn7CrO22
_chemical_formula_sum 'Ca8 Mn7 Cr1 O22'
_cell_length_a 7.6817
_cell_length_b 7.6817
_cell_length_c 7.6542
_cell_angle_alpha 90.00
_cell_angle_beta 90.00
_cell_angle_gamma 90.00
_space_group_name_H-M_alt 'P 4 m m'
_space_group_IT_number 99
_space_group_name_Hall 'P 4 -2'
loop_
_atom_site_label
_atom_site_fract_x
_atom_site_fract_y
_atom_site_fract_z
_atom_site_occupancy
Ca1 0.2493 0.2493 0.0000 1
Ca2 0.2493 0.2493 0.4904 1
Mn1 0.0000 0.0000 0.2515 1
Mn2 0.0000 0.0000 0.7413 1
Mn3 0.0000 0.5000 0.2388 1
Mn4 0.0000 0.5000 0.7537 1
Mn5 0.5000 0.5000 0.2472 1
Cr1 0.5000 0.5000 0.7408 1
O1 0.0000 0.0000 0.4971 1
O2 0.0000 0.2456 0.2251 1
O3 0.0000 0.2456 0.7700 1
O4 0.0000 0.5000 0.4975 1
O5 0.0000 0.5000 0.9967 1
O6 0.2530 0.5000 0.2263 1
O7 0.2581 0.5000 0.7746 1
O8 0.5000 0.5000 0.5025 1
```

Main lines, sorted by position (10 to 80 degrees two-theta):
2θ = 23.20°, d 3.835, rel. 16, (0 0 2)
2θ = 33.02°, d 2.712, rel. 100, (2 0 2)
2θ = 47.34°, d 1.920, rel. 32, (4 0 0)
2θ = 47.52°, d 1.914, rel. 15, (0 0 4)
2θ = 58.94°, d 1.567, rel. 24, (4 2 2)
2θ = 59.05°, d 1.564, rel. 11, (2 2 4)
2θ = 69.18°, d 1.358, rel. 9, (4 4 0)
2θ = 69.32°, d 1.356, rel. 16, (4 0 4)
2θ = 78.82°, d 1.214, rel. 9, (6 0 2)
2θ = 79.10°, d 1.211, rel. 5, (2 0 6)

---

2.
Li2FeF4: calculated powder diffraction line list (a wavelength of 1.5418 Å), based on a crystal structure in the Materials Project, relaxed with GGA+U.

Atomic structure:
```
data_Li2FeF4
_chemical_formula_sum 'Li8 Fe4 F16'
_cell_length_a 6.0526
_cell_length_b 6.0526
_cell_length_c 8.5779
_cell_angle_alpha 90.00
_cell_angle_beta 90.00
_cell_angle_gamma 90.00
_space_group_name_H-M_alt 'P 41 2 2'
_space_group_IT_number 91
_space_group_name_Hall 'P 4w 2c'
loop_
_atom_site_label
_atom_site_fract_x
_atom_site_fract_y
_atom_site_fract_z
_atom_site_occupancy
Li1 0.0000 0.2306 0.0000 1
Li2 0.2435 0.2435 0.3750 1
Fe1 0.2392 0.5000 0.7500 1
F1 0.0166 0.2518 0.7571 1
F2 0.2520 0.4803 0.9993 1
```

Main lines, sorted by position (10 to 80 degrees two-theta):
2θ = 14.64°, d 6.053, rel. 35, (1 0 0)
2θ = 17.94°, d 4.945, rel. 84, (1 0 1)
2θ = 23.23°, d 3.830, rel. 53, (1 1 1)
2θ = 25.45°, d 3.499, rel. 27, (1 0 2)
2θ = 34.73°, d 2.583, rel. 46, (1 0 3)
2θ = 37.84°, d 2.378, rel. 18, (1 1 3)
2θ = 42.20°, d 2.141, rel. 100, (0 0 4)
2θ = 55.80°, d 1.647, rel. 14, (3 2 1)
2θ = 61.21°, d 1.514, rel. 62, (2 2 4)
2θ = 77.15°, d 1.236, rel. 15, (4 0 4)

---

Repeat the first record exactly.
Ca8Mn7CrO22: calculated powder diffraction line list (a wavelength of 1.5418 Å), based on a crystal structure in the Materials Project, relaxed with GGA+U.

Atomic structure:
```
data_Ca8Mn7CrO22
_chemical_formula_sum 'Ca8 Mn7 Cr1 O22'
_cell_length_a 7.6817
_cell_length_b 7.6817
_cell_length_c 7.6542
_cell_angle_alpha 90.00
_cell_angle_beta 90.00
_cell_angle_gamma 90.00
_space_group_name_H-M_alt 'P 4 m m'
_space_group_IT_number 99
_space_group_name_Hall 'P 4 -2'
loop_
_atom_site_label
_atom_site_fract_x
_atom_site_fract_y
_atom_site_fract_z
_atom_site_occupancy
Ca1 0.2493 0.2493 0.0000 1
Ca2 0.2493 0.2493 0.4904 1
Mn1 0.0000 0.0000 0.2515 1
Mn2 0.0000 0.0000 0.7413 1
Mn3 0.0000 0.5000 0.2388 1
Mn4 0.0000 0.5000 0.7537 1
Mn5 0.5000 0.5000 0.2472 1
Cr1 0.5000 0.5000 0.7408 1
O1 0.0000 0.0000 0.4971 1
O2 0.0000 0.2456 0.2251 1
O3 0.0000 0.2456 0.7700 1
O4 0.0000 0.5000 0.4975 1
O5 0.0000 0.5000 0.9967 1
O6 0.2530 0.5000 0.2263 1
O7 0.2581 0.5000 0.7746 1
O8 0.5000 0.5000 0.5025 1
```

Main lines, sorted by position (10 to 80 degrees two-theta):
2θ = 23.20°, d 3.835, rel. 16, (0 0 2)
2θ = 33.02°, d 2.712, rel. 100, (2 0 2)
2θ = 47.34°, d 1.920, rel. 32, (4 0 0)
2θ = 47.52°, d 1.914, rel. 15, (0 0 4)
2θ = 58.94°, d 1.567, rel. 24, (4 2 2)
2θ = 59.05°, d 1.564, rel. 11, (2 2 4)
2θ = 69.18°, d 1.358, rel. 9, (4 4 0)
2θ = 69.32°, d 1.356, rel. 16, (4 0 4)
2θ = 78.82°, d 1.214, rel. 9, (6 0 2)
2θ = 79.10°, d 1.211, rel. 5, (2 0 6)

---

Question: Which formula does entry 2 have?
Answer: Li2FeF4

---

Repeat the first record exactly.
Ca8Mn7CrO22: calculated powder diffraction line list (a wavelength of 1.5418 Å), based on a crystal structure in the Materials Project, relaxed with GGA+U.

Atomic structure:
```
data_Ca8Mn7CrO22
_chemical_formula_sum 'Ca8 Mn7 Cr1 O22'
_cell_length_a 7.6817
_cell_length_b 7.6817
_cell_length_c 7.6542
_cell_angle_alpha 90.00
_cell_angle_beta 90.00
_cell_angle_gamma 90.00
_space_group_name_H-M_alt 'P 4 m m'
_space_group_IT_number 99
_space_group_name_Hall 'P 4 -2'
loop_
_atom_site_label
_atom_site_fract_x
_atom_site_fract_y
_atom_site_fract_z
_atom_site_occupancy
Ca1 0.2493 0.2493 0.0000 1
Ca2 0.2493 0.2493 0.4904 1
Mn1 0.0000 0.0000 0.2515 1
Mn2 0.0000 0.0000 0.7413 1
Mn3 0.0000 0.5000 0.2388 1
Mn4 0.0000 0.5000 0.7537 1
Mn5 0.5000 0.5000 0.2472 1
Cr1 0.5000 0.5000 0.7408 1
O1 0.0000 0.0000 0.4971 1
O2 0.0000 0.2456 0.2251 1
O3 0.0000 0.2456 0.7700 1
O4 0.0000 0.5000 0.4975 1
O5 0.0000 0.5000 0.9967 1
O6 0.2530 0.5000 0.2263 1
O7 0.2581 0.5000 0.7746 1
O8 0.5000 0.5000 0.5025 1
```

Main lines, sorted by position (10 to 80 degrees two-theta):
2θ = 23.20°, d 3.835, rel. 16, (0 0 2)
2θ = 33.02°, d 2.712, rel. 100, (2 0 2)
2θ = 47.34°, d 1.920, rel. 32, (4 0 0)
2θ = 47.52°, d 1.914, rel. 15, (0 0 4)
2θ = 58.94°, d 1.567, rel. 24, (4 2 2)
2θ = 59.05°, d 1.564, rel. 11, (2 2 4)
2θ = 69.18°, d 1.358, rel. 9, (4 4 0)
2θ = 69.32°, d 1.356, rel. 16, (4 0 4)
2θ = 78.82°, d 1.214, rel. 9, (6 0 2)
2θ = 79.10°, d 1.211, rel. 5, (2 0 6)